Calculated powder diffraction line list
Compound: Ta4VMo
Radiation: copper Kα
Structure: a structure optimized by DFT (GGA-PBE)
Peak positions follow from Bragg's law for the DFT cell and can differ from measured ones.

Structure:
```
data_Ta4VMo
_space_group_name_H-M_alt 'P 4/m m m'
_space_group_IT_number 123
_space_group_name_Hall '-P 4 2'
_cell_length_a 3.229
_cell_length_b 3.229
_cell_length_c 9.802
_cell_angle_alpha 90.00
_cell_angle_beta 90.00
_cell_angle_gamma 90.00
loop_
_atom_site_label
_atom_site_type_symbol
_atom_site_fract_x
_atom_site_fract_y
_atom_site_fract_z
Ta1 Ta 0.000 0.000 0.157
Ta2 Ta 0.500 0.500 0.338
V1 V 0.500 0.500 0.000
Mo1 Mo 0.000 0.000 0.500
```

Most intense lines, 10 to 90 degrees two-theta, in order of rising 2θ:
Position (°2θ)	I/Imax	(hkl)
29.12	16	1 0 1
39.23	100	1 0 3
39.47	50	1 1 0
54.97	5	1 1 4
56.31	8	0 0 6
57.05	17	2 0 0
70.94	17	1 1 6
71.42	34	2 1 3
84.34	11	2 0 6
84.96	6	2 2 0